Structure and simulated powder diffractogram of LiFeS2O8 (a GGA+U-relaxed structure; Cu Kα).
Intensities are scaled so that the largest is 100.

Atomic structure:
```
data_LiFeS2O8
_chemical_formula_sum 'Li3 Fe3 S6 O24'
_space_group_name_H-M_alt 'P 1'
_space_group_IT_number 1
_cell_length_a 8.3942
_cell_length_b 8.4063
_cell_length_c 8.9909
_cell_angle_alpha 117.44
_cell_angle_beta 90.47
_cell_angle_gamma 119.81
loop_
_space_group_symop_operation_xyz
'x,y,z'
loop_
_atom_site_label
_atom_site_fract_x
_atom_site_fract_y
_atom_site_fract_z
Li1 0.0000 0.0000 0.0000
Li2 0.2388 0.8461 0.8965
Li3 0.6237 0.6163 0.8936
Fe1 0.1848 0.3603 0.5873
Fe2 0.4838 0.9450 0.4665
Fe3 0.6939 0.3627 0.0907
S1 0.0932 0.4565 0.2910
S2 0.3109 0.1715 0.7847
S3 0.3808 0.1580 0.2816
S4 0.5806 0.8696 0.7860
S5 0.7920 0.8595 0.2793
S6 0.8746 0.4351 0.7849
O1 0.0776 0.5159 0.7748
O2 0.1258 0.4787 0.4666
O3 0.1349 0.3097 0.1635
O4 0.1859 0.0195 0.8343
O5 0.2035 0.9837 0.1315
O6 0.2180 0.6772 0.3199
O7 0.2237 0.2765 0.7580
O8 0.3442 0.2825 0.4425
O9 0.3499 0.0607 0.6211
O10 0.4492 0.6519 0.7685
O11 0.4721 0.0626 0.3204
O12 0.5026 0.3561 0.9295
O13 0.5217 0.3168 0.2397
O14 0.5259 0.8386 0.6139
O15 0.5320 0.0188 0.9204
O16 0.6037 0.8057 0.3125
O17 0.7421 0.2290 0.6158
O18 0.7790 0.9444 0.8433
O19 0.7957 0.8811 0.1262
O20 0.8159 0.6831 0.2473
O21 0.8401 0.6014 0.8173
O22 0.8605 0.3954 0.9316
O23 0.8871 0.3798 0.2356
O24 0.9515 0.0617 0.4393
```

Largest 10 diffraction maxima, low angle first, 10° ≤ 2θ ≤ 90°:
2theta, intensity
12.76, 23
14.40, 50
14.52, 29
19.84, 29
24.15, 100
24.30, 47
29.03, 28
31.67, 30
31.92, 17
32.77, 17